Record 1
Calculated XRD peak list
Compound: In4GaBi
Radiation: CuKα
Structure: a PBE-relaxed structure
Kinematic intensities with the Lorentz-polarization factor, no thermal factor.

Crystal structure
a = 4.0120 Å, b = 4.0120 Å, c = 10.0724 Å
α = 90.00°, β = 90.00°, γ = 90.00°
Sites, in units of the cell vectors:
In1 0.0000 0.0000 0.1567
In2 0.0000 0.0000 0.8433
In3 0.5000 0.5000 0.3203
In4 0.5000 0.5000 0.6797
Ga1 0.5000 0.5000 0.0000
Bi1 0.0000 0.0000 0.5000

Largest 6 diffraction maxima, sorted by position, 15 to 90 degrees two-theta:
28.44 deg, I = 11
31.54 deg, I = 67
34.84 deg, I = 100
45.20 deg, I = 25
58.31 deg, I = 44
64.50 deg, I = 15

Record 2
Calculated XRD peak list
Compound: In8GaBi2
Radiation: CuKα
Structure: a PBE-relaxed structure
Kinematic intensities with the Lorentz-polarization factor, no thermal factor.

Crystal structure
a = 9.4787 Å, b = 9.4787 Å, c = 9.4787 Å
α = 151.63°, β = 128.79°, γ = 59.58°
Sites, in units of the cell vectors:
In1 0.1244 0.1244 0.0000
In2 0.1585 0.3647 0.7939
In3 0.3141 0.0000 0.3141
In4 0.4292 0.6353 0.7939
In5 0.5708 0.3647 0.2061
In6 0.6859 0.0000 0.6859
In7 0.8415 0.6353 0.2061
In8 0.8756 0.8756 0.0000
Ga1 0.0000 0.5000 0.5000
Bi1 0.2689 0.7689 0.5000
Bi2 0.7311 0.2311 0.5000

Largest 6 diffraction maxima, sorted by position, 15 to 90 degrees two-theta:
24.27 deg, I = 22
31.03 deg, I = 100
33.42 deg, I = 89
38.77 deg, I = 35
39.84 deg, I = 26
64.41 deg, I = 27

Record 3
Calculated XRD peak list
Compound: In3GaBi4
Radiation: CuKα
Structure: a PBE-relaxed structure
Kinematic intensities with the Lorentz-polarization factor, no thermal factor.

Crystal structure
a = 6.4378 Å, b = 6.4378 Å, c = 6.4378 Å
α = 90.00°, β = 90.00°, γ = 90.00°
Sites, in units of the cell vectors:
In1 0.0000 0.0000 0.5000
In2 0.0000 0.5000 0.0000
In3 0.5000 0.0000 0.0000
Ga1 0.0000 0.0000 0.0000
Bi1 0.2970 0.2970 0.2970
Bi2 0.2970 0.7030 0.7030
Bi3 0.7030 0.2970 0.7030
Bi4 0.7030 0.7030 0.2970

Largest 6 diffraction maxima, sorted by position, 15 to 90 degrees two-theta:
23.94 deg, I = 100
31.06 deg, I = 39
34.11 deg, I = 38
39.60 deg, I = 67
42.11 deg, I = 27
46.80 deg, I = 23

Record 4
Calculated XRD peak list
Compound: In3Ga2Bi4
Radiation: CuKα
Structure: a PBE-relaxed structure
Kinematic intensities with the Lorentz-polarization factor, no thermal factor.

Crystal structure
a = 7.0837 Å, b = 7.0837 Å, c = 10.2204 Å
α = 120.87°, β = 120.87°, γ = 37.23°
Sites, in units of the cell vectors:
In1 0.0000 0.0000 0.0000
In2 0.3570 0.3570 0.3281
In3 0.6430 0.6430 0.6719
Ga1 0.3018 0.3018 0.6537
Ga2 0.6982 0.6982 0.3463
Bi1 0.0640 0.0640 0.3610
Bi2 0.3248 0.3248 0.9641
Bi3 0.6752 0.6752 0.0359
Bi4 0.9360 0.9360 0.6390

Largest 6 diffraction maxima, sorted by position, 15 to 90 degrees two-theta:
28.16 deg, I = 63
30.91 deg, I = 98
31.23 deg, I = 65
33.65 deg, I = 100
39.87 deg, I = 43
51.49 deg, I = 32

Record 5
Calculated XRD peak list
Compound: K2InGaBi2
Radiation: CuKα
Structure: a PBE-relaxed structure
Kinematic intensities with the Lorentz-polarization factor, no thermal factor.

Crystal structure
a = 9.5145 Å, b = 9.5145 Å, c = 9.5145 Å
α = 133.23°, β = 68.09°, γ = 133.49°
Sites, in units of the cell vectors:
K1 0.1628 0.2444 0.4073
K2 0.3372 0.7444 0.0816
K3 0.6628 0.2556 0.9184
K4 0.8372 0.7556 0.5927
In1 0.2500 0.7500 0.5000
In2 0.7500 0.2500 0.5000
Ga1 0.2500 0.2500 0.0000
Ga2 0.7500 0.7500 0.0000
Bi1 0.0975 0.7622 0.8597
Bi2 0.4025 0.2622 0.6647
Bi3 0.5975 0.7378 0.3353
Bi4 0.9025 0.2378 0.1403

Largest 6 diffraction maxima, sorted by position, 15 to 90 degrees two-theta:
20.12 deg, I = 100
28.16 deg, I = 51
32.89 deg, I = 97
33.65 deg, I = 69
35.58 deg, I = 22
49.30 deg, I = 24

Record 6
Calculated XRD peak list
Compound: InGa2Bi2Te
Radiation: CuKα
Structure: a PBE-relaxed structure
Kinematic intensities with the Lorentz-polarization factor, no thermal factor.

Crystal structure
a = 6.6862 Å, b = 6.0606 Å, c = 9.7504 Å
α = 90.00°, β = 105.05°, γ = 90.00°
Sites, in units of the cell vectors:
In1 0.0379 0.2500 0.4067
In2 0.9621 0.7500 0.5933
Ga1 0.4082 0.0149 0.8029
Ga2 0.4082 0.4851 0.8029
Ga3 0.5918 0.5149 0.1971
Ga4 0.5918 0.9851 0.1971
Bi1 0.0026 0.2500 0.7149
Bi2 0.4912 0.7500 0.5792
Bi3 0.5088 0.2500 0.4208
Bi4 0.9974 0.7500 0.2851
Te1 0.2690 0.7500 0.9979
Te2 0.7310 0.2500 0.0021

Largest 6 diffraction maxima, sorted by position, 15 to 90 degrees two-theta:
23.71 deg, I = 100
25.07 deg, I = 57
29.48 deg, I = 58
31.54 deg, I = 63
32.11 deg, I = 89
40.23 deg, I = 58

Record 7
Calculated XRD peak list
Compound: TlInGaBi
Radiation: CuKα
Structure: a PBE-relaxed structure
Kinematic intensities with the Lorentz-polarization factor, no thermal factor.

Crystal structure
a = 3.4002 Å, b = 3.4002 Å, c = 9.6816 Å
α = 90.00°, β = 90.00°, γ = 90.00°
Sites, in units of the cell vectors:
Tl1 0.0000 0.0000 0.0000
In1 0.5000 0.5000 0.2715
Ga1 0.0000 0.0000 0.4867
Bi1 0.5000 0.5000 0.7161

Largest 6 diffraction maxima, sorted by position, 15 to 90 degrees two-theta:
27.81 deg, I = 18
32.17 deg, I = 100
37.15 deg, I = 14
37.40 deg, I = 36
53.74 deg, I = 19
64.20 deg, I = 28

Record 8
Calculated XRD peak list
Compound: Tl2InGaBi2
Radiation: CuKα
Structure: a PBE-relaxed structure
Kinematic intensities with the Lorentz-polarization factor, no thermal factor.

Crystal structure
a = 9.0423 Å, b = 9.0423 Å, c = 9.0423 Å
α = 132.40°, β = 69.40°, γ = 132.65°
Sites, in units of the cell vectors:
Tl1 0.1619 0.2392 0.4012
Tl2 0.3381 0.7392 0.0773
Tl3 0.6619 0.2608 0.9227
Tl4 0.8381 0.7608 0.5988
In1 0.2500 0.2500 0.0000
In2 0.7500 0.7500 0.0000
Ga1 0.2500 0.7500 0.5000
Ga2 0.7500 0.2500 0.5000
Bi1 0.1126 0.7230 0.8356
Bi2 0.3874 0.2230 0.6104
Bi3 0.6126 0.7770 0.3896
Bi4 0.8874 0.2770 0.1644

Largest 6 diffraction maxima, sorted by position, 15 to 90 degrees two-theta:
23.94 deg, I = 18
24.40 deg, I = 32
24.52 deg, I = 34
29.64 deg, I = 44
34.49 deg, I = 100
34.86 deg, I = 70